(1)
CePm3C4: simulated powder diffractogram (Cu Kα (weighted mean of Kα1 and Kα2)), based on a structure optimized by DFT (GGA-PBE).
No peak broadening, texture or thermal motion is included.

Crystal structure
```
data_CePm3C4
_chemical_formula_sum 'Ce2 Pm6 C8'
_cell_length_a 14.7642
_cell_length_b 3.9314
_cell_length_c 5.1711
_cell_angle_alpha 90.00
_cell_angle_beta 110.45
_cell_angle_gamma 90.00
_symmetry_space_group_name_H-M 'C 1 2/m 1'
_symmetry_Int_Tables_number 12
loop_
_symmetry_equiv_pos_as_xyz
'x,y,z'
'-x,-y,-z'
'-x,y,-z'
'x,-y,z'
'x+1/2,y+1/2,z'
'-x+1/2,-y+1/2,-z'
'-x+1/2,y+1/2,-z'
'x+1/2,-y+1/2,z'
loop_
_atom_site_label
_atom_site_type_symbol
_atom_site_fract_x
_atom_site_fract_y
_atom_site_fract_z
_atom_site_occupancy
Ce1 Ce 0.0000 0.0000 0.0000 1
Pm1 Pm 0.0000 0.5000 0.5000 1
Pm2 Pm 0.1883 0.5000 0.1883 1
C1 C 0.1263 0.0000 0.7607 1
C2 C 0.1265 0.0000 0.4915 1
```

The 10 most intense peaks (5 to 70 degrees two-theta), low angle first:
h k l	d/Å	two_theta	I/Imax
2 0 1	3.442	25.89	21
3 1 0	2.992	29.87	12
1 1 1	2.851	31.37	100
2 0 -2	2.586	34.69	26
3 1 1	2.321	38.81	21
6 0 0	2.306	39.07	13
0 2 0	1.966	46.18	13
2 2 -2	1.565	59.03	11
5 1 -3	1.539	60.12	16
7 1 1	1.514	61.24	19

(2)
Ce3PmC8: simulated powder diffractogram (Cu Kα (weighted mean of Kα1 and Kα2)), based on a structure optimized by DFT (GGA-PBE).
No peak broadening, texture or thermal motion is included.

Crystal structure
```
data_Ce3PmC8
_chemical_formula_sum 'Ce12 Pm4 C32'
_cell_length_a 9.7398
_cell_length_b 9.8111
_cell_length_c 8.1138
_cell_angle_alpha 90.00
_cell_angle_beta 90.00
_cell_angle_gamma 90.00
_symmetry_space_group_name_H-M 'F m m 2'
_symmetry_Int_Tables_number 42
_symmetry_space_group_name_Hall 'F 2 -2'
loop_
_atom_site_label
_atom_site_type_symbol
_atom_site_fract_x
_atom_site_fract_y
_atom_site_fract_z
_atom_site_occupancy
Ce1 Ce 0.0000 0.0000 0.0000 1
Ce2 Ce 0.2500 0.2500 0.2455 1
Pm1 Pm 0.0000 0.0000 0.4999 1
C1 C 0.0000 0.1645 0.2493 1
C2 C 0.0000 0.2476 0.8723 1
C3 C 0.1646 0.0000 0.7517 1
C4 C 0.2456 0.0000 0.1302 1
```

The 10 most intense peaks (5 to 70 degrees two-theta), low angle first:
h k l	d/Å	two_theta	I/Imax
2 2 0	3.456	25.78	52
2 0 2	3.122	28.60	100
0 4 0	2.453	36.64	16
4 0 0	2.435	36.92	16
0 0 4	2.028	44.67	8
2 4 2	1.928	47.15	28
4 2 2	1.921	47.32	28
2 2 4	1.749	52.29	21
4 4 0	1.728	52.99	10
0 4 4	1.563	59.10	6

(3)
Ce2PuSbC: simulated powder diffractogram (Cu Kα (weighted mean of Kα1 and Kα2)), based on a structure optimized by DFT (GGA-PBE).
No peak broadening, texture or thermal motion is included.

Crystal structure
```
data_Ce2PuSbC
_chemical_formula_sum 'Ce2 Pu1 Sb1 C1'
_cell_length_a 4.9612
_cell_length_b 4.9612
_cell_length_c 4.7896
_cell_angle_alpha 90.00
_cell_angle_beta 90.00
_cell_angle_gamma 90.00
_symmetry_space_group_name_H-M 'P 4/m m m'
_symmetry_Int_Tables_number 123
_symmetry_space_group_name_Hall '-P 4 2'
loop_
_atom_site_label
_atom_site_type_symbol
_atom_site_fract_x
_atom_site_fract_y
_atom_site_fract_z
_atom_site_occupancy
Ce1 Ce 0.0000 0.5000 0.0000 1
Pu1 Pu 0.0000 0.0000 0.5000 1
Sb1 Sb 0.5000 0.5000 0.5000 1
C1 C 0.0000 0.0000 0.0000 1
```

The 10 most intense peaks (5 to 70 degrees two-theta), low angle first:
h k l	d/Å	two_theta	I/Imax
1 0 0	4.961	17.88	8
1 0 1	3.446	25.86	4
1 1 1	2.830	31.61	100
2 0 0	2.481	36.21	37
0 0 2	2.395	37.56	17
2 2 0	1.754	52.15	13
2 0 2	1.723	53.16	25
3 1 1	1.491	62.27	29
1 1 3	1.453	64.08	13
2 2 2	1.415	66.02	13

(4)
Ce3Re2C4: simulated powder diffractogram (Cu Kα (weighted mean of Kα1 and Kα2)), based on a structure optimized by DFT (GGA-PBE).
No peak broadening, texture or thermal motion is included.

Crystal structure
```
data_Ce3Re2C4
_chemical_formula_sum 'Ce6 Re4 C8'
_cell_length_a 12.1059
_cell_length_b 3.1787
_cell_length_c 7.2139
_cell_angle_alpha 90.00
_cell_angle_beta 98.35
_cell_angle_gamma 90.00
_symmetry_space_group_name_H-M 'C 1 2/m 1'
_symmetry_Int_Tables_number 12
loop_
_symmetry_equiv_pos_as_xyz
'x,y,z'
'-x,-y,-z'
'-x,y,-z'
'x,-y,z'
'x+1/2,y+1/2,z'
'-x+1/2,-y+1/2,-z'
'-x+1/2,y+1/2,-z'
'x+1/2,-y+1/2,z'
loop_
_atom_site_label
_atom_site_type_symbol
_atom_site_fract_x
_atom_site_fract_y
_atom_site_fract_z
_atom_site_occupancy
Ce1 Ce 0.0000 0.0000 0.0000 1
Ce2 Ce 0.1209 0.5000 0.5196 1
Re1 Re 0.2399 0.5000 0.1558 1
C1 C 0.1412 0.5000 0.8912 1
C2 C 0.1724 0.0000 0.2997 1
```

The 10 most intense peaks (5 to 70 degrees two-theta), low angle first:
h k l	d/Å	two_theta	I/Imax
2 0 0	5.989	14.79	53
2 0 -2	3.282	27.17	34
4 0 -1	2.916	30.65	45
1 1 1	2.785	32.14	100
4 0 1	2.628	34.11	65
3 1 0	2.487	36.12	35
1 1 -2	2.372	37.92	39
1 1 2	2.286	39.42	37
3 1 -2	2.133	42.38	53
5 1 2	1.610	57.21	28

(5)
Ce2ReC2: simulated powder diffractogram (Cu Kα (weighted mean of Kα1 and Kα2)), based on a structure optimized by DFT (GGA-PBE).
No peak broadening, texture or thermal motion is included.

Crystal structure
```
data_Ce2ReC2
_chemical_formula_sum 'Ce8 Re4 C8'
_cell_length_a 6.5605
_cell_length_b 5.2592
_cell_length_c 9.9997
_cell_angle_alpha 90.00
_cell_angle_beta 90.00
_cell_angle_gamma 90.00
_symmetry_space_group_name_H-M 'P n m a'
_symmetry_Int_Tables_number 62
loop_
_symmetry_equiv_pos_as_xyz
'x,y,z'
'-x,-y,-z'
'-x+1/2,-y,z+1/2'
'x+1/2,y,-z+1/2'
'x+1/2,-y+1/2,-z+1/2'
'-x+1/2,y+1/2,z+1/2'
'-x,y+1/2,-z'
'x,-y+1/2,z'
loop_
_atom_site_label
_atom_site_type_symbol
_atom_site_fract_x
_atom_site_fract_y
_atom_site_fract_z
_atom_site_occupancy
Ce1 Ce 0.0250 0.2500 0.2247 1
Ce2 Ce 0.1942 0.2500 0.5464 1
Re1 Re 0.2268 0.2500 0.8629 1
C1 C 0.0336 0.7500 0.2444 1
C2 C 0.1717 0.7500 0.5510 1
```

The 10 most intense peaks (5 to 70 degrees two-theta), low angle first:
h k l	d/Å	two_theta	I/Imax
0 1 3	2.815	31.78	67
2 1 0	2.783	32.16	20
2 0 2	2.743	32.65	27
2 1 1	2.681	33.42	100
0 2 0	2.630	34.10	69
1 1 3	2.587	34.67	67
1 0 4	2.337	38.52	21
2 2 2	1.898	47.93	18
1 2 4	1.747	52.38	17
2 3 1	1.528	60.60	19

(6)
CeZr2ReC4: simulated powder diffractogram (Cu Kα (weighted mean of Kα1 and Kα2)), based on a structure optimized by DFT (GGA-PBE).
No peak broadening, texture or thermal motion is included.

Crystal structure
```
data_CeZr2ReC4
_chemical_formula_sum 'Ce4 Zr8 Re4 C16'
_cell_length_a 3.3528
_cell_length_b 11.7996
_cell_length_c 11.6415
_cell_angle_alpha 90.00
_cell_angle_beta 90.00
_cell_angle_gamma 90.00
_symmetry_space_group_name_H-M 'C m c m'
_symmetry_Int_Tables_number 63
_symmetry_space_group_name_Hall '-C 2c 2'
loop_
_atom_site_label
_atom_site_type_symbol
_atom_site_fract_x
_atom_site_fract_y
_atom_site_fract_z
_atom_site_occupancy
Ce1 Ce 0.0000 0.0975 0.2500 1
Zr1 Zr 0.0000 0.3707 0.0385 1
Re1 Re 0.0000 0.1639 0.7500 1
C1 C 0.0000 0.0000 0.0000 1
C2 C 0.0000 0.2633 0.6191 1
C3 C 0.0000 0.4343 0.2500 1
```

The 10 most intense peaks (5 to 70 degrees two-theta), low angle first:
h k l	d/Å	two_theta	I/Imax
0 0 2	5.821	15.22	37
0 4 0	2.950	30.30	41
0 0 4	2.910	30.72	55
0 4 1	2.860	31.28	30
1 1 2	2.821	31.72	100
1 3 1	2.492	36.03	25
1 3 2	2.337	38.52	84
0 4 4	2.072	43.69	24
1 5 3	1.728	52.99	23
2 0 0	1.676	54.76	17

(7)
CeRhC2: simulated powder diffractogram (Cu Kα (weighted mean of Kα1 and Kα2)), based on a structure optimized by DFT (GGA-PBE).
No peak broadening, texture or thermal motion is included.

Crystal structure
```
data_CeRhC2
_chemical_formula_sum 'Ce4 Rh4 C8'
_cell_length_a 3.8734
_cell_length_b 3.8734
_cell_length_c 15.4821
_cell_angle_alpha 90.00
_cell_angle_beta 90.00
_cell_angle_gamma 90.00
_symmetry_space_group_name_H-M 'P 43'
_symmetry_Int_Tables_number 78
loop_
_symmetry_equiv_pos_as_xyz
'x,y,z'
'-y,x,z+3/4'
'-x,-y,z+1/2'
'y,-x,z+1/4'
loop_
_atom_site_label
_atom_site_type_symbol
_atom_site_fract_x
_atom_site_fract_y
_atom_site_fract_z
_atom_site_occupancy
Ce1 Ce 0.1290 0.8657 0.0000 1
Rh1 Rh 0.3567 0.6330 0.5967 1
C1 C 0.1363 0.3655 0.1425 1
C2 C 0.3471 0.3611 0.2138 1
```

The 10 most intense peaks (5 to 70 degrees two-theta), low angle first:
h k l	d/Å	two_theta	I/Imax
0 0 4	3.871	22.98	15
1 0 3	3.098	28.82	45
1 0 4	2.738	32.71	100
1 1 1	2.697	33.22	46
1 1 2	2.582	34.74	41
1 0 5	2.419	37.17	63
2 0 1	1.921	47.31	56
1 2 2	1.690	54.27	17
1 2 6	1.438	64.83	31
2 2 2	1.348	69.75	24

(8)
Ce6Sn2RuC: simulated powder diffractogram (Cu Kα (weighted mean of Kα1 and Kα2)), based on a structure optimized by DFT (GGA-PBE).
No peak broadening, texture or thermal motion is included.

Crystal structure
```
data_Ce6Sn2RuC
_chemical_formula_sum 'Ce6 Sn2 Ru1 C1'
_cell_length_a 5.1231
_cell_length_b 5.1231
_cell_length_c 10.3614
_cell_angle_alpha 90.00
_cell_angle_beta 90.00
_cell_angle_gamma 90.00
_symmetry_space_group_name_H-M 'P 4/m m m'
_symmetry_Int_Tables_number 123
_symmetry_space_group_name_Hall '-P 4 2'
loop_
_atom_site_label
_atom_site_type_symbol
_atom_site_fract_x
_atom_site_fract_y
_atom_site_fract_z
_atom_site_occupancy
Ce1 Ce 0.0000 0.0000 0.2295 1
Ce2 Ce 0.0000 0.5000 0.0000 1
Ce3 Ce 0.0000 0.5000 0.5000 1
Sn1 Sn 0.5000 0.5000 0.2418 1
Ru1 Ru 0.0000 0.0000 0.5000 1
C1 C 0.0000 0.0000 0.0000 1
```

The 10 most intense peaks (5 to 70 degrees two-theta), low angle first:
h k l	d/Å	two_theta	I/Imax
1 0 0	5.123	17.31	5
1 1 2	2.969	30.10	100
0 0 4	2.590	34.63	25
2 0 0	2.562	35.03	52
1 1 3	2.500	35.93	4
2 0 4	1.821	50.08	35
2 2 0	1.811	50.38	19
1 1 6	1.559	59.28	13
3 1 2	1.546	59.81	29
2 2 4	1.484	62.58	18

(9)
CeYCS: simulated powder diffractogram (Cu Kα (weighted mean of Kα1 and Kα2)), based on a structure optimized by DFT (GGA-PBE).
No peak broadening, texture or thermal motion is included.

Crystal structure
```
data_CeYCS
_chemical_formula_sum 'Ce3 Y3 C3 S3'
_cell_length_a 3.7644
_cell_length_b 3.7644
_cell_length_c 19.2044
_cell_angle_alpha 90.00
_cell_angle_beta 90.00
_cell_angle_gamma 120.00
_symmetry_space_group_name_H-M 'R 3 m'
_symmetry_Int_Tables_number 160
_symmetry_space_group_name_Hall 'R 3 -2"'
loop_
_atom_site_label
_atom_site_type_symbol
_atom_site_fract_x
_atom_site_fract_y
_atom_site_fract_z
_atom_site_occupancy
Ce1 Ce 0.0000 0.0000 0.0000 1
Y1 Y 0.0000 0.0000 0.4771 1
C1 C 0.0000 0.0000 0.7349 1
S1 S 0.0000 0.0000 0.2346 1
```

The 10 most intense peaks (5 to 70 degrees two-theta), low angle first:
h k l	d/Å	two_theta	I/Imax
0 0 6	3.201	27.87	21
0 1 2	3.087	28.92	69
1 0 4	2.697	33.22	100
0 1 5	2.485	36.14	15
0 1 8	1.933	47.01	29
1 1 0	1.882	48.36	36
1 1 6	1.623	56.73	19
2 0 2	1.607	57.33	10
0 2 4	1.543	59.93	17
1 1 9	1.412	66.21	11

(10)
Ce4SbC2: simulated powder diffractogram (Cu Kα (weighted mean of Kα1 and Kα2)), based on a structure optimized by DFT (GGA-PBE).
No peak broadening, texture or thermal motion is included.

Crystal structure
```
data_Ce4SbC2
_chemical_formula_sum 'Ce16 Sb4 C8'
_cell_length_a 3.9382
_cell_length_b 12.4279
_cell_length_c 12.9558
_cell_angle_alpha 90.00
_cell_angle_beta 90.00
_cell_angle_gamma 90.00
_symmetry_space_group_name_H-M 'C m c m'
_symmetry_Int_Tables_number 63
_symmetry_space_group_name_Hall '-C 2c 2'
loop_
_atom_site_label
_atom_site_type_symbol
_atom_site_fract_x
_atom_site_fract_y
_atom_site_fract_z
_atom_site_occupancy
Ce1 Ce 0.0000 0.0000 0.0000 1
Ce2 Ce 0.0000 0.2644 0.1039 1
Ce3 Ce 0.0000 0.4041 0.7500 1
Sb1 Sb 0.0000 0.0987 0.7500 1
C1 C 0.0000 0.3616 0.5577 1
```

The 10 most intense peaks (5 to 70 degrees two-theta), low angle first:
h k l	d/Å	two_theta	I/Imax
0 0 4	3.246	27.48	22
0 2 4	2.872	31.14	67
1 1 3	2.833	31.58	91
0 4 2	2.801	31.95	44
1 3 1	2.787	32.11	100
2 0 0	1.970	46.07	35
2 2 4	1.624	56.68	24
2 4 2	1.611	57.18	17
1 3 7	1.553	59.53	30
1 7 3	1.516	61.15	17

(11)
CeSbC: simulated powder diffractogram (Cu Kα (weighted mean of Kα1 and Kα2)), based on a structure optimized by DFT (GGA-PBE).
No peak broadening, texture or thermal motion is included.

Crystal structure
```
data_CeSbC
_chemical_formula_sum 'Ce4 Sb4 C4'
_cell_length_a 4.2849
_cell_length_b 4.4568
_cell_length_c 16.3301
_cell_angle_alpha 90.00
_cell_angle_beta 90.00
_cell_angle_gamma 90.00
_symmetry_space_group_name_H-M 'I m m m'
_symmetry_Int_Tables_number 71
_symmetry_space_group_name_Hall '-I 2 2'
loop_
_atom_site_label
_atom_site_type_symbol
_atom_site_fract_x
_atom_site_fract_y
_atom_site_fract_z
_atom_site_occupancy
Ce1 Ce 0.0000 0.0000 0.1259 1
Sb1 Sb 0.0000 0.0000 0.3235 1
C1 C 0.1473 0.5000 0.5000 1
```

The 10 most intense peaks (5 to 70 degrees two-theta), low angle first:
h k l	d/Å	two_theta	I/Imax
0 0 2	8.165	10.84	28
0 0 4	4.083	21.77	40
1 1 0	3.089	28.91	100
0 1 5	2.634	34.03	31
1 0 5	2.598	34.53	36
1 1 4	2.463	36.48	53
0 2 0	2.228	40.48	23
2 0 0	2.142	42.18	18
1 2 5	1.691	54.24	19
2 1 5	1.662	55.27	18

(12)
Ce5Sb5C: simulated powder diffractogram (Cu Kα (weighted mean of Kα1 and Kα2)), based on a structure optimized by DFT (GGA-PBE).
No peak broadening, texture or thermal motion is included.

Crystal structure
```
data_Ce5Sb5C
_chemical_formula_sum 'Ce10 Sb10 C2'
_cell_length_a 13.7154
_cell_length_b 6.1182
_cell_length_c 8.5425
_cell_angle_alpha 90.00
_cell_angle_beta 111.25
_cell_angle_gamma 90.00
_symmetry_space_group_name_H-M 'C 1 2/m 1'
_symmetry_Int_Tables_number 12
loop_
_symmetry_equiv_pos_as_xyz
'x,y,z'
'-x,-y,-z'
'-x,y,-z'
'x,-y,z'
'x+1/2,y+1/2,z'
'-x+1/2,-y+1/2,-z'
'-x+1/2,y+1/2,-z'
'x+1/2,-y+1/2,z'
loop_
_atom_site_label
_atom_site_type_symbol
_atom_site_fract_x
_atom_site_fract_y
_atom_site_fract_z
_atom_site_occupancy
Ce1 Ce 0.0000 0.0000 0.0000 1
Ce2 Ce 0.1474 0.5000 0.8666 1
Ce3 Ce 0.1477 0.5000 0.2926 1
Sb1 Sb 0.0000 0.5000 0.5000 1
Sb2 Sb 0.1449 0.0000 0.7929 1
Sb3 Sb 0.1930 0.0000 0.3327 1
C1 C 0.0000 0.5000 0.0000 1
```

The 10 most intense peaks (5 to 70 degrees two-theta), low angle first:
h k l	d/Å	two_theta	I/Imax
4 0 -2	3.100	28.80	80
0 2 0	3.059	29.19	100
2 0 2	2.935	30.45	69
3 1 1	2.900	30.84	38
1 1 -3	2.553	35.15	31
4 2 -2	2.178	41.47	59
2 0 -4	2.131	42.41	41
2 2 2	2.118	42.69	54
2 2 -4	1.749	52.31	49
0 4 0	1.528	60.58	28

(13)
Ce2Tm2Sb2C: simulated powder diffractogram (Cu Kα (weighted mean of Kα1 and Kα2)), based on a structure optimized by DFT (GGA-PBE).
No peak broadening, texture or thermal motion is included.

Crystal structure
```
data_Ce2Tm2Sb2C
_chemical_formula_sum 'Ce4 Tm4 Sb4 C2'
_cell_length_a 4.7563
_cell_length_b 4.7563
_cell_length_c 16.1857
_cell_angle_alpha 90.00
_cell_angle_beta 90.00
_cell_angle_gamma 90.00
_symmetry_space_group_name_H-M 'I 4/m m m'
_symmetry_Int_Tables_number 139
_symmetry_space_group_name_Hall '-I 4 2'
loop_
_atom_site_label
_atom_site_type_symbol
_atom_site_fract_x
_atom_site_fract_y
_atom_site_fract_z
_atom_site_occupancy
Ce1 Ce 0.0000 0.0000 0.1610 1
Tm1 Tm 0.0000 0.5000 0.0000 1
Sb1 Sb 0.0000 0.0000 0.3652 1
C1 C 0.0000 0.0000 0.0000 1
```

The 10 most intense peaks (5 to 70 degrees two-theta), low angle first:
h k l	d/Å	two_theta	I/Imax
0 0 2	8.093	10.93	27
1 1 2	3.106	28.75	69
0 0 6	2.698	33.21	26
1 1 4	2.586	34.68	100
2 0 0	2.378	37.83	55
2 0 6	1.784	51.21	31
2 2 0	1.682	54.57	24
3 1 2	1.479	62.84	15
1 1 10	1.458	63.82	15
3 1 4	1.410	66.30	30

(14)
Ce2ScTc2C4: simulated powder diffractogram (Cu Kα (weighted mean of Kα1 and Kα2)), based on a structure optimized by DFT (GGA-PBE).
No peak broadening, texture or thermal motion is included.

Crystal structure
```
data_Ce2ScTc2C4
_chemical_formula_sum 'Ce4 Sc2 Tc4 C8'
_cell_length_a 13.5477
_cell_length_b 3.2927
_cell_length_c 5.9464
_cell_angle_alpha 90.00
_cell_angle_beta 105.76
_cell_angle_gamma 90.00
_symmetry_space_group_name_H-M 'C 1 2/m 1'
_symmetry_Int_Tables_number 12
loop_
_symmetry_equiv_pos_as_xyz
'x,y,z'
'-x,-y,-z'
'-x,y,-z'
'x,-y,z'
'x+1/2,y+1/2,z'
'-x+1/2,-y+1/2,-z'
'-x+1/2,y+1/2,-z'
'x+1/2,-y+1/2,z'
loop_
_atom_site_label
_atom_site_type_symbol
_atom_site_fract_x
_atom_site_fract_y
_atom_site_fract_z
_atom_site_occupancy
Ce1 Ce 0.1258 0.0000 0.0268 1
Sc1 Sc 0.0000 0.0000 0.5000 1
Tc1 Tc 0.1765 0.5000 0.5091 1
C1 C 0.0416 0.5000 0.2602 1
C2 C 0.2300 0.0000 0.7261 1
```

The 10 most intense peaks (5 to 70 degrees two-theta), low angle first:
h k l	d/Å	two_theta	I/Imax
4 0 0	3.260	27.36	30
4 0 -1	3.235	27.57	24
1 1 -1	2.870	31.16	43
0 0 2	2.861	31.26	71
1 1 1	2.712	33.03	28
3 1 -1	2.549	35.20	100
4 0 -2	2.516	35.69	25
3 1 1	2.250	40.08	74
5 1 0	2.044	44.31	21
6 0 -3	1.679	54.68	24